For LiCuH4Pd2, the PBE geometry in Alexandria gives the simulated powder X-ray diffraction pattern in this record (Cu Kα X-rays).
Intensities are scaled so that the largest is 100.

The 10 most intense peaks (2θ from 10° to 80°), in order of rising 2θ:
2θ/deg, I_rel, (hkl)
16.38, 28, 0 2 0
19.86, 58, 0 0 2
32.22, 51, 1 1 0
34.36, 35, 0 2 3
38.14, 60, 1 1 2
38.91, 100, 0 4 2
40.11, 34, 1 3 0
44.59, 53, 1 1 3
45.14, 39, 1 3 2
54.01, 33, 0 2 5

Atomic structure:
Cell lengths 2.875, 10.822, 8.940 Å; angles 90.00, 90.00, 90.00 degrees
Space group Cmcm (No. 63)
Symmetry-distinct sites (fractional):
1 Li 0.000 0.026 0.250 (multiplicity 4)
2 Cu 0.000 0.244 0.750 (multiplicity 4)
3 H 0.000 0.000 0.000 (multiplicity 4)
4 H 0.000 0.367 0.250 (multiplicity 4)
5 H 0.000 0.373 0.651 (multiplicity 8)
6 Pd 0.000 0.373 0.036 (multiplicity 8)



For LiCu2H5Rh, the PBE geometry in Alexandria gives the simulated powder X-ray diffraction pattern in this record (Cu Kα X-rays).
Intensities are scaled so that the largest is 100.

The 10 most intense peaks (2θ from 10° to 80°), in order of rising 2θ:
2θ/deg, I_rel, (hkl)
21.50, 57, 0 1 1
27.27, 14, 1 0 1
37.80, 100, 1 1 2
38.72, 24, 0 2 0
39.47, 19, 1 0 3
39.99, 18, 0 0 4
54.57, 11, 0 1 5
56.48, 14, 1 2 3
56.88, 13, 0 2 4
69.48, 15, 1 3 2

Atomic structure:
Cell lengths 3.509, 4.651, 9.019 Å; angles 90.00, 90.00, 90.00 degrees
Space group Immm (No. 71)
Symmetry-distinct sites (fractional):
1 Li 0.000 0.000 0.000 (multiplicity 2)
2 Cu 0.000 0.500 0.225 (multiplicity 4)
3 H 0.000 0.268 0.370 (multiplicity 8)
4 H 0.000 0.500 0.000 (multiplicity 2)
5 Rh 0.000 0.000 0.500 (multiplicity 2)



For Li2ZnCuH6, the PBE geometry in Alexandria gives the simulated powder X-ray diffraction pattern in this record (Cu Kα X-rays).
Intensities are scaled so that the largest is 100.

The 10 most intense peaks (2θ from 10° to 80°), in order of rising 2θ:
2θ/deg, I_rel, (hkl)
19.98, 83, 0 0 2
28.78, 70, 1 1 0
35.29, 100, 1 1 2
40.61, 16, 0 0 4
41.15, 32, 2 0 0
46.15, 33, 2 0 2
50.53, 26, 1 1 4
59.19, 21, 2 0 4
63.53, 13, 2 2 2
71.20, 23, 3 1 2

Atomic structure:
Cell lengths 4.387, 4.387, 8.886 Å; angles 90.00, 90.00, 90.00 degrees
Space group I4mm (No. 107)
Symmetry-distinct sites (fractional):
1 Li 0.000 0.500 0.000 (multiplicity 4)
2 Zn 0.000 0.000 0.259 (multiplicity 2)
3 Cu 0.000 0.000 0.767 (multiplicity 2)
4 H 0.000 0.000 0.077 (multiplicity 2)
5 H 0.000 0.000 0.583 (multiplicity 2)
6 H 0.243 0.243 0.841 (multiplicity 8)



For NaMgCuH4, the PBE geometry in Alexandria gives the simulated powder X-ray diffraction pattern in this record (Cu Kα X-rays).
Intensities are scaled so that the largest is 100.

The 10 most intense peaks (2θ from 10° to 80°), in order of rising 2θ:
2θ/deg, I_rel, (hkl)
14.11, 51, 0 0 1
20.12, 51, 1 0 -1
22.71, 100, 0 1 1
27.04, 62, 1 0 1
33.70, 65, 0 1 2
34.39, 51, 1 1 -2
35.86, 63, 0 2 0
38.75, 47, 2 0 0
43.23, 52, 1 1 2
44.89, 41, 2 1 -2

Atomic structure:
Cell lengths 4.866, 5.009, 6.573 Å; angles 90.00, 107.24, 90.00 degrees
Space group P2_1/m (No. 11)
Symmetry-distinct sites (fractional):
1 Na 0.215 0.250 0.432 (multiplicity 2)
2 Mg 0.273 0.250 0.967 (multiplicity 2)
3 Cu 0.285 0.750 0.181 (multiplicity 2)
4 H 0.065 0.750 0.325 (multiplicity 2)
5 H 0.094 0.750 0.934 (multiplicity 2)
6 H 0.497 0.005 0.220 (multiplicity 4)